Theoretical PXRD pattern of CaInGeAu for λ = 1.5418 Å (Cu Kα), from a cell relaxed with PBE.

Structure:
```
data_CaInGeAu
_symmetry_space_group_name_H-M 'P 1'
_symmetry_Int_Tables_number 1
_cell_length_a 5.020
_cell_length_b 5.020
_cell_length_c 5.020
_cell_angle_alpha 60.00
_cell_angle_beta 60.00
_cell_angle_gamma 60.00
loop_
_symmetry_equiv_pos_as_xyz
'x,y,z'
loop_
_atom_site_label
_atom_site_type_symbol
_atom_site_fract_x
_atom_site_fract_y
_atom_site_fract_z
Ca1 Ca 0.000 0.000 0.000
In1 In 0.500 0.500 0.500
Ge1 Ge 0.750 0.750 0.750
Au1 Au 0.250 0.250 0.250
```

Principal peaks in the range 2θ = 10–80°, in order of falling intensity:
2.510 Å, intensity 100; 1.449 Å, intensity 35; 4.098 Å, intensity 25; 1.775 Å, intensity 17; 2.140 Å, intensity 14; 1.255 Å, intensity 11; 3.549 Å, intensity 8; 1.629 Å, intensity 6; 1.200 Å, intensity 5; 1.366 Å, intensity 5